For Ag3Ir5, the GGA-PBE geometry in Alexandria gives the theoretical X-ray powder pattern in this record (copper Kα).
Peak positions follow from Bragg's law for the DFT cell and can differ from measured ones.

```
data_Ag3Ir5
_chemical_formula_sum 'Ag6 Ir10'
_cell_length_a 4.7641
_cell_length_b 6.2272
_cell_length_c 9.7302
_cell_angle_alpha 91.90
_cell_angle_beta 98.88
_cell_angle_gamma 107.42
_space_group_name_H-M_alt 'P -1'
_space_group_IT_number 2
loop_
_space_group_symop_operation_xyz
'x,y,z'
'-x,-y,-z'
loop_
_atom_site_label
_atom_site_fract_x
_atom_site_fract_y
_atom_site_fract_z
Ag1 0.1975 0.3930 0.4686
Ag2 0.2018 0.3469 0.9898
Ag3 0.2885 0.9990 0.5872
Ir1 0.0876 0.7263 0.2968
Ir2 0.2200 0.1392 0.2353
Ir3 0.2343 0.7264 0.8282
Ir4 0.3994 0.8625 0.0952
Ir5 0.4819 0.4311 0.7472
```

Main lines, sorted by position (2θ from 10° to 90°):
2θ (°), Rel. int., h k l
18.52, 57.1, 0 0 2
36.75, 96.5, 1 1 2
38.11, 52.1, -2 1 1
39.38, 82.3, 0 1 -4
39.74, 33.3, 0 2 -3
40.23, 49.6, -2 1 2
41.30, 78.2, -1 1 4
43.02, 100.0, 1 2 -2
44.07, 33.6, 1 -3 0
45.04, 37.5, 1 -3 1